(1)
SnGeAsHIr: theoretical powder X-ray diffraction pattern (λ = 1.5418 Å (Cu Kα)), based on a structure optimized by DFT (PBE).

Crystal structure
```
SnGeAsHIr
1.0
4.731 0.000 0.000
0.000 4.289 0.000
-1.939 0.000 4.625
Sn Ge As H Ir
1 1 1 1 1
Cartesian
0.000 0.000 0.000
0.015 2.144 2.501
2.357 0.000 1.460
1.389 2.144 4.257
2.376 2.144 2.957
```

Main lines, sorted by position (10° ≤ 2θ ≤ 80°):
19.19°, I 18
20.35°, I 31
21.94°, I 38
28.38°, I 100
38.21°, I 33
39.48°, I 37
42.13°, I 59
44.51°, I 17
46.71°, I 32
58.18°, I 20

(2)
Pr2Er5Sc5: theoretical powder X-ray diffraction pattern (λ = 1.5418 Å (Cu Kα)), based on a structure optimized by DFT (PBE).

Crystal structure
```
Pr2Er5Sc5
1.0
7.330 -2.411 0.000
7.330 2.411 0.000
-4.898 0.000 9.765
Pr Er Sc
2 5 5
Cartesian
-0.031 0.000 2.461
9.793 0.000 7.304
-2.449 0.000 4.883
-2.464 0.000 9.750
-0.047 0.000 7.276
9.809 0.000 2.489
12.226 0.000 0.015
2.438 0.000 4.866
4.867 0.000 2.458
7.330 0.000 0.000
4.895 0.000 7.307
7.324 0.000 4.900
```

Main lines, sorted by position (10° ≤ 2θ ≤ 80°):
19.41°, I 6
19.62°, I 16
31.87°, I 100
36.80°, I 34
37.30°, I 16
53.03°, I 12
53.40°, I 23
63.21°, I 27
63.88°, I 13
66.61°, I 12

(3)
V2ReMo6: theoretical powder X-ray diffraction pattern (λ = 1.5418 Å (Cu Kα)), based on a structure optimized by DFT (PBE).

Crystal structure
```
V2ReMo6
1.0
7.806 0.000 0.000
0.000 7.938 0.000
0.000 0.000 4.470
V Re Mo
4 2 12
Cartesian
1.267 1.847 0.000
2.635 5.816 2.235
5.170 2.122 2.235
6.538 6.091 0.000
0.000 0.000 2.235
3.903 3.969 0.000
0.006 5.307 2.235
1.288 4.515 0.000
1.290 7.155 0.000
2.615 0.546 2.235
2.613 3.186 2.235
3.897 1.338 0.000
3.909 6.600 0.000
5.193 4.752 2.235
5.191 7.392 2.235
6.516 0.783 0.000
6.518 3.423 0.000
7.800 2.631 2.235
```

Main lines, sorted by position (10° ≤ 2θ ≤ 80°):
35.83°, I 17
39.58°, I 37
40.10°, I 100
40.36°, I 49
41.27°, I 60
46.16°, I 17
49.11°, I 20
65.37°, I 16
73.20°, I 16
75.98°, I 20

(4)
LiNd4Ga3: theoretical powder X-ray diffraction pattern (λ = 1.5418 Å (Cu Kα)), based on a structure optimized by DFT (PBE).

Crystal structure
```
LiNd4Ga3
1.0
-2.598 2.598 7.578
2.598 -2.598 7.578
2.598 2.598 -7.578
Li Nd Ga
1 4 3
Cartesian
0.000 0.000 0.000
2.598 0.000 1.947
2.598 0.000 5.631
0.000 2.598 1.947
0.000 2.598 5.631
0.000 0.000 3.735
0.000 0.000 7.578
0.000 0.000 11.421
```

Main lines, sorted by position (10° ≤ 2θ ≤ 80°):
23.48°, I 12
24.23°, I 23
33.99°, I 100
34.53°, I 48
42.18°, I 11
48.03°, I 9
49.63°, I 17
60.48°, I 18
61.52°, I 36
71.55°, I 11

(5)
Th8Sn2Os3: theoretical powder X-ray diffraction pattern (λ = 1.5418 Å (Cu Kα)), based on a structure optimized by DFT (PBE).

Crystal structure
```
Th8Sn2Os3
1.0
7.999 -4.108 0.000
7.999 4.108 0.000
-1.952 0.000 6.804
Th Sn Os
8 2 3
Cartesian
0.797 0.000 2.766
6.155 2.031 0.706
7.891 2.031 6.098
5.200 0.000 4.105
8.845 0.000 2.699
6.155 -2.031 0.706
7.891 -2.031 6.098
13.249 0.000 4.038
3.631 0.000 1.132
10.415 0.000 5.672
7.023 2.074 3.402
7.999 0.000 0.000
7.023 -2.074 3.402
```

Main lines, sorted by position (10° ≤ 2θ ≤ 80°):
11.51°, I 62
26.32°, I 29
29.39°, I 24
31.56°, I 52
31.95°, I 100
37.02°, I 19
44.09°, I 23
44.28°, I 46
46.74°, I 29
55.22°, I 23

(6)
Fe8Re3Os: theoretical powder X-ray diffraction pattern (λ = 1.5418 Å (Cu Kα)), based on a structure optimized by DFT (PBE).

Crystal structure
```
Fe8Re3Os
1.0
4.647 0.000 0.000
-2.323 4.024 0.000
0.000 0.000 7.621
Fe Re Os
8 3 1
Cartesian
0.000 0.000 0.000
0.000 0.000 3.805
0.000 1.365 5.704
-1.141 3.342 5.704
1.184 0.684 1.899
1.141 3.342 5.704
3.463 0.684 1.899
2.323 2.657 1.899
0.000 2.683 0.480
0.000 2.683 3.314
2.323 1.341 7.122
2.323 1.341 4.279
```

Main lines, sorted by position (10° ≤ 2θ ≤ 80°):
22.09°, I 20
25.02°, I 15
38.76°, I 69
42.06°, I 100
45.06°, I 15
45.74°, I 89
46.69°, I 45
72.42°, I 38
75.08°, I 20
78.77°, I 24